The following is a theoretical X-ray powder pattern of BaPrEuWO6. It was derived from a DFT-relaxed cell (GGA+U, Alexandria), using Cu Kα, 1.54184 Å.

Principal peaks in the range 10° ≤ 2θ ≤ 90°, in order of rising 2θ:
| d [Å] | Position (°2θ) | I_rel |
| --- | --- | --- |
| 4.327 | 20.52 | 2 |
| 3.060 | 29.18 | 100 |
| 2.164 | 41.75 | 28 |
| 1.767 | 51.74 | 41 |
| 1.530 | 60.51 | 18 |
| 1.368 | 68.58 | 19 |
| 1.249 | 76.21 | 6 |
| 1.157 | 83.60 | 22 |

Crystal structure
a = 6.120 Å, b = 6.120 Å, c = 6.120 Å
α = 60.00°, β = 60.00°, γ = 60.00°
Sites, in units of the cell vectors:
Ba 0.000 0.000 0.000
Pr 0.250 0.250 0.250
Eu 0.500 0.500 0.500
W 0.750 0.750 0.750
O 0.520 0.520 0.980
O 0.520 0.980 0.520
O 0.520 0.980 0.980
O 0.980 0.520 0.520
O 0.980 0.520 0.980
O 0.980 0.980 0.520